The following is a calculated X-ray powder pattern of Pm2In3. It was derived from a crystal structure in Alexandria, relaxed with PBE, using Cu Kα, 1.54184 Å.

Crystal structure
```
Pm2In3
1.0
12.4778 0.0000 0.0000
0.0000 4.3796 0.0000
0.0000 0.0000 10.8607
Pm In
8 12
direct
0.0030 0.2500 0.1586
0.1589 0.2500 0.5741
0.3411 0.7500 0.0741
0.4970 0.7500 0.6586
0.5030 0.2500 0.3414
0.6589 0.2500 0.9259
0.8411 0.7500 0.4259
0.9970 0.7500 0.8414
0.0962 0.7500 0.3525
0.1707 0.2500 0.9362
0.2480 0.2500 0.2651
0.2520 0.7500 0.7651
0.3293 0.7500 0.4362
0.4038 0.2500 0.8525
0.5962 0.7500 0.1475
0.6707 0.2500 0.5638
0.7480 0.2500 0.2349
0.7520 0.7500 0.7349
0.8293 0.7500 0.0638
0.9038 0.2500 0.6475
```

Largest 10 diffraction maxima, by angle, 2θ from 10° to 90°:
2θ/deg  d [Å]  I (rel.)
27.12  3.289  98
29.85  2.993  52
32.08  2.790  75
33.12  2.705  27
35.27  2.544  78
36.31  2.474  100
41.23  2.190  53
44.12  2.053  30
61.95  1.498  26
65.71  1.421  39

The following is a calculated X-ray powder pattern of Pm5In2. It was derived from a crystal structure in Alexandria, relaxed with PBE, using Cu Kα, 1.54184 Å.

Crystal structure
```
Pm5In2
1.0
8.0756 -2.9378 0.0000
8.0756 2.9378 0.0000
-1.2733 0.0000 9.0952
Pm In
10 4
direct
0.0802 0.6639 0.0457
0.1194 0.4309 0.6792
0.2180 0.7820 0.7500
0.3361 0.9198 0.4543
0.4309 0.1194 0.1792
0.5691 0.8806 0.8208
0.6639 0.0802 0.5457
0.7820 0.2180 0.2500
0.8806 0.5691 0.3208
0.9198 0.3361 0.9543
0.2249 0.6162 0.4006
0.3838 0.7751 0.0994
0.6162 0.2249 0.9006
0.7751 0.3838 0.5994
```

Largest 10 diffraction maxima, by angle, 2θ from 10° to 90°:
2θ/deg  d [Å]  I (rel.)
28.37  3.146  22
30.43  2.938  37
31.78  2.816  61
32.18  2.782  98
33.03  2.712  100
34.43  2.605  44
44.57  2.033  23
48.92  1.862  18
52.81  1.733  20
57.96  1.591  18

The following is a calculated X-ray powder pattern of PmPr6In6. It was derived from a crystal structure in Alexandria, relaxed with PBE, using Cu Kα, 1.54184 Å.

Crystal structure
```
PmPr6In6
1.0
6.4193 0.0000 0.0000
-3.2097 5.5593 0.0000
0.0000 0.0000 11.2382
Pm Pr In
1 6 6
direct
0.0000 0.0000 0.0000
0.0000 0.0000 0.3336
0.0000 0.0000 0.6664
0.3333 0.6667 0.0000
0.3333 0.6667 0.5000
0.6667 0.3333 0.0000
0.6667 0.3333 0.5000
0.0000 0.5000 0.2461
0.0000 0.5000 0.7539
0.5000 0.0000 0.2461
0.5000 0.0000 0.7539
0.5000 0.5000 0.2461
0.5000 0.5000 0.7539
```

Largest 10 diffraction maxima, by angle, 2θ from 10° to 90°:
2θ/deg  d [Å]  I (rel.)
27.80  3.210  42
28.74  3.107  27
31.85  2.810  27
32.15  2.784  100
35.81  2.508  19
36.05  2.491  70
51.96  1.760  16
56.92  1.618  29
57.42  1.605  27
67.18  1.394  18

The following is a calculated X-ray powder pattern of Pm14PrIn. It was derived from a crystal structure in Alexandria, relaxed with PBE, using Cu Kα, 1.54184 Å.

Crystal structure
```
Pm14PrIn
1.0
10.2400 0.0000 0.0000
0.0000 5.1109 5.1105
0.0000 -5.1109 5.1105
Pm Pr In
14 1 1
direct
0.0000 0.0000 0.0000
0.0000 0.9997 0.5000
0.0000 0.5000 0.9997
0.0000 0.4996 0.4996
0.2538 0.2469 0.2469
0.2538 0.2469 0.7526
0.2538 0.7526 0.2469
0.2538 0.7528 0.7528
0.5000 0.0000 0.4992
0.5000 0.4992 0.0000
0.7462 0.2469 0.2469
0.7462 0.2469 0.7526
0.7462 0.7526 0.2469
0.7462 0.7528 0.7528
0.5000 0.5000 0.5000
0.5000 0.9995 0.9995
```

Largest 10 diffraction maxima, by angle, 2θ from 10° to 90°:
2θ/deg  d [Å]  I (rel.)
30.27  2.952  100
35.10  2.557  51
50.48  1.808  36
60.00  1.542  43
62.96  1.476  12
74.07  1.280  2
74.22  1.278  4
82.16  1.173  17
84.69  1.144  5
84.83  1.143  11

The following is a calculated X-ray powder pattern of Pm2Pr6In3. It was derived from a crystal structure in Alexandria, relaxed with PBE, using Cu Kα, 1.54184 Å.

Crystal structure
```
Pm2Pr6In3
1.0
-2.3407 2.3407 17.2373
2.3407 -2.3407 17.2373
2.3407 2.3407 -17.2373
Pm Pr In
2 6 3
direct
0.0427 0.0427 0.0000
0.9573 0.9573 0.0000
0.1250 0.6250 0.5000
0.2133 0.2133 0.0000
0.3750 0.8750 0.5000
0.6250 0.1250 0.5000
0.7867 0.7867 0.0000
0.8750 0.3750 0.5000
0.3077 0.3077 0.0000
0.5000 0.5000 0.0000
0.6923 0.6923 0.0000
```

Largest 10 diffraction maxima, by angle, 2θ from 10° to 90°:
2θ/deg  d [Å]  I (rel.)
26.27  3.393  15
28.89  3.090  100
31.14  2.872  26
34.16  2.625  51
34.44  2.604  33
38.46  2.341  49
50.28  1.815  24
52.57  1.741  20
55.52  1.655  17
63.79  1.459  21

The following is a calculated X-ray powder pattern of Pm3Pr2In3. It was derived from a crystal structure in Alexandria, relaxed with PBE, using Cu Kα, 1.54184 Å.

Crystal structure
```
Pm3Pr2In3
1.0
-2.2698 2.5228 10.5233
2.2698 -2.5228 10.5233
2.2698 2.5228 -10.5233
Pm Pr In
3 2 3
direct
0.0000 0.0000 0.0000
0.3820 0.8820 0.5000
0.6180 0.1180 0.5000
0.2363 0.2363 0.0000
0.7637 0.7637 0.0000
0.1223 0.6223 0.5000
0.5000 0.5000 0.0000
0.8777 0.3777 0.5000
```

Largest 10 diffraction maxima, by angle, 2θ from 10° to 90°:
2θ/deg  d [Å]  I (rel.)
31.49  2.841  100
34.08  2.631  18
35.59  2.523  19
39.71  2.270  14
50.10  1.821  12
54.37  1.687  11
59.39  1.556  12
61.37  1.511  15
65.75  1.420  10
66.97  1.397  11

The following is a calculated X-ray powder pattern of Pm7Pr4In. It was derived from a crystal structure in Alexandria, relaxed with PBE, using Cu Kα, 1.54184 Å.

Crystal structure
```
Pm7Pr4In
1.0
8.1858 -3.0421 0.0000
8.1858 3.0421 0.0000
-4.1566 0.0000 8.5459
Pm Pr In
7 4 1
direct
0.0000 0.0000 0.0000
0.2219 0.2219 0.8986
0.3437 0.3437 0.6602
0.4338 0.4338 0.2763
0.5662 0.5662 0.7237
0.6563 0.6563 0.3398
0.7781 0.7781 0.1014
0.0973 0.0973 0.4860
0.2281 0.2281 0.2725
0.7719 0.7719 0.7275
0.9027 0.9027 0.5140
0.5000 0.5000 0.0000
```

Largest 10 diffraction maxima, by angle, 2θ from 10° to 90°:
2θ/deg  d [Å]  I (rel.)
24.00  3.709  27
28.26  3.158  46
29.36  3.042  100
30.12  2.967  24
30.35  2.945  47
31.15  2.871  68
31.97  2.800  61
32.78  2.732  62
42.57  2.124  24
42.74  2.116  37

The following is a calculated X-ray powder pattern of Pm15PrIn4. It was derived from a crystal structure in Alexandria, relaxed with PBE, using Cu Kα, 1.54184 Å.

Crystal structure
```
Pm15PrIn4
1.0
4.9659 0.0000 0.0000
0.0000 4.9659 0.0000
0.0000 0.0000 25.3958
Pm Pr In
15 1 4
direct
0.0000 0.0000 0.0000
0.0000 0.0000 0.2070
0.0000 0.0000 0.4019
0.0000 0.0000 0.5981
0.0000 0.0000 0.7930
0.0000 0.5000 0.1074
0.0000 0.5000 0.3042
0.0000 0.5000 0.5000
0.0000 0.5000 0.6958
0.0000 0.5000 0.8926
0.5000 0.0000 0.1074
0.5000 0.0000 0.3042
0.5000 0.0000 0.5000
0.5000 0.0000 0.6958
0.5000 0.0000 0.8926
0.5000 0.5000 0.0000
0.5000 0.5000 0.2068
0.5000 0.5000 0.4025
0.5000 0.5000 0.5975
0.5000 0.5000 0.7932
```

Largest 10 diffraction maxima, by angle, 2θ from 10° to 90°:
2θ/deg  d [Å]  I (rel.)
30.96  2.888  100
35.34  2.540  16
36.18  2.483  34
51.47  1.775  22
52.09  1.756  12
60.73  1.525  12
61.84  1.500  27
64.53  1.444  11
84.07  1.151  10
87.43  1.116  6